[1]
Structure and simulated powder diffraction line list of Cu4As2O9 (a cell relaxed with PBE; a wavelength of 1.5418 Å).
Intensities are scaled so that the largest is 100.

Largest 10 diffraction maxima, by angle, 2θ = 10–90°:
| 2θ (°) | I (rel.) |
| --- | --- |
| 25.31 | 100 |
| 27.50 | 41 |
| 28.65 | 32 |
| 30.22 | 53 |
| 32.13 | 66 |
| 32.88 | 54 |
| 35.23 | 66 |
| 40.05 | 31 |
| 47.76 | 31 |
| 56.52 | 32 |

Structure:
```
Cu4As2O9
1.0
8.330 0.000 0.000
0.000 6.513 0.000
0.000 0.000 14.084
Cu As O
16 8 36
direct
0.074 0.250 0.087
0.135 0.750 0.450
0.147 0.007 0.655
0.147 0.493 0.655
0.353 0.507 0.155
0.353 0.993 0.155
0.365 0.250 0.950
0.426 0.750 0.587
0.574 0.250 0.413
0.635 0.750 0.050
0.647 0.007 0.845
0.647 0.493 0.845
0.853 0.507 0.345
0.853 0.993 0.345
0.865 0.250 0.550
0.926 0.750 0.913
0.000 0.250 0.844
0.000 0.750 0.156
0.156 0.250 0.410
0.344 0.750 0.910
0.500 0.250 0.656
0.500 0.750 0.344
0.656 0.250 0.090
0.844 0.750 0.590
0.082 0.025 0.358
0.082 0.475 0.358
0.100 0.250 0.529
0.115 0.250 0.739
0.120 0.533 0.148
0.120 0.967 0.148
0.130 0.250 0.939
0.146 0.750 0.884
0.189 0.750 0.592
0.311 0.250 0.092
0.354 0.250 0.384
0.370 0.750 0.439
0.380 0.033 0.648
0.380 0.467 0.648
0.385 0.750 0.239
0.400 0.750 0.029
0.418 0.525 0.858
0.418 0.975 0.858
0.582 0.025 0.142
0.582 0.475 0.142
0.600 0.250 0.971
0.615 0.250 0.761
0.620 0.533 0.352
0.620 0.967 0.352
0.630 0.250 0.561
0.646 0.750 0.616
0.689 0.750 0.908
0.811 0.250 0.408
0.854 0.250 0.116
0.870 0.750 0.061
0.880 0.033 0.852
0.880 0.467 0.852
0.885 0.750 0.261
0.900 0.750 0.471
0.918 0.525 0.642
0.918 0.975 0.642
```

[2]
Structure and simulated powder diffraction line list of WSCl4 (a cell relaxed with PBE; a wavelength of 1.5418 Å).
Intensities are scaled so that the largest is 100.

Largest 10 diffraction maxima, by angle, 2θ = 10–90°:
| 2θ (°) | I (rel.) |
| --- | --- |
| 13.07 | 71 |
| 14.45 | 100 |
| 15.85 | 33 |
| 16.13 | 45 |
| 16.96 | 46 |
| 17.75 | 55 |
| 18.74 | 35 |
| 21.95 | 37 |
| 28.22 | 32 |
| 31.36 | 33 |

Structure:
```
WSCl4
1.0
6.989 0.000 0.000
1.466 7.875 0.000
1.632 1.599 7.780
W S Cl
2 2 8
direct
0.141 0.249 0.198
0.859 0.751 0.802
0.342 0.020 0.239
0.658 0.980 0.761
0.017 0.719 0.531
0.140 0.849 0.830
0.191 0.336 0.901
0.320 0.461 0.201
0.680 0.539 0.799
0.809 0.664 0.099
0.860 0.151 0.170
0.983 0.281 0.469
```

[3]
Structure and simulated powder diffraction line list of KMgAg2SbS4 (a cell relaxed with PBE; a wavelength of 1.5418 Å).
Intensities are scaled so that the largest is 100.

Largest 10 diffraction maxima, by angle, 2θ = 10–90°:
| 2θ (°) | I (rel.) |
| --- | --- |
| 17.47 | 32 |
| 20.86 | 100 |
| 23.89 | 91 |
| 27.90 | 37 |
| 28.58 | 41 |
| 28.86 | 41 |
| 29.29 | 39 |
| 34.73 | 60 |
| 45.78 | 31 |
| 47.02 | 37 |

Structure:
```
KMgAg2SbS4
1.0
4.478 -4.582 0.000
4.478 4.582 0.000
-2.078 0.000 6.396
K Mg Ag Sb S
1 1 2 1 4
direct
0.000 0.000 0.000
0.799 0.799 0.394
0.332 0.845 0.433
0.845 0.332 0.433
0.522 0.522 0.919
0.071 0.071 0.577
0.500 0.890 0.123
0.597 0.597 0.590
0.890 0.500 0.123
```

[4]
Structure and simulated powder diffraction line list of ErTlCu (a cell relaxed with PBE; a wavelength of 1.5418 Å).
Intensities are scaled so that the largest is 100.

Largest 10 diffraction maxima, by angle, 2θ = 10–90°:
| 2θ (°) | I (rel.) |
| --- | --- |
| 26.03 | 46 |
| 26.31 | 26 |
| 31.13 | 100 |
| 37.88 | 58 |
| 38.69 | 27 |
| 42.03 | 26 |
| 42.98 | 49 |
| 49.33 | 13 |
| 53.24 | 14 |
| 58.44 | 16 |

Structure:
```
ErTlCu
1.0
3.620 -2.150 0.000
3.620 2.150 0.000
-0.143 0.000 9.236
Er Tl Cu
2 2 2
direct
0.006 0.006 0.176
0.994 0.994 0.824
0.331 0.331 0.598
0.669 0.669 0.402
0.331 0.331 0.995
0.669 0.669 0.005
```

[5]
Structure and simulated powder diffraction line list of Na4Eu2GeAs4 (a cell relaxed with PBE; a wavelength of 1.5418 Å).
Intensities are scaled so that the largest is 100.

Largest 10 diffraction maxima, by angle, 2θ = 10–90°:
| 2θ (°) | I (rel.) |
| --- | --- |
| 10.58 | 100 |
| 15.97 | 30 |
| 24.60 | 15 |
| 30.74 | 13 |
| 30.90 | 26 |
| 32.26 | 34 |
| 32.56 | 68 |
| 34.51 | 14 |
| 37.13 | 23 |
| 37.41 | 43 |

Structure:
```
Na4Eu2GeAs4
1.0
4.843 -8.309 0.000
4.843 8.309 0.000
-0.085 0.000 7.352
Na Eu Ge As
8 4 2 8
direct
0.068 0.357 0.496
0.073 0.927 0.500
0.168 0.692 0.819
0.356 0.504 0.994
0.357 0.068 0.996
0.504 0.356 0.494
0.692 0.168 0.319
0.927 0.073 0.000
0.261 0.739 0.319
0.694 0.741 0.319
0.739 0.261 0.819
0.741 0.694 0.819
0.545 0.880 0.697
0.880 0.545 0.197
0.023 0.833 0.099
0.026 0.408 0.095
0.408 0.026 0.595
0.409 0.597 0.591
0.551 0.880 0.042
0.597 0.409 0.091
0.833 0.023 0.599
0.880 0.551 0.542
```

[6]
Structure and simulated powder diffraction line list of Na4Al3Si3H3O14 (a cell relaxed with PBE; a wavelength of 1.5418 Å).
Intensities are scaled so that the largest is 100.

Largest 10 diffraction maxima, by angle, 2θ = 10–90°:
| 2θ (°) | I (rel.) |
| --- | --- |
| 13.43 | 25 |
| 13.56 | 100 |
| 13.68 | 58 |
| 23.35 | 13 |
| 23.62 | 51 |
| 23.81 | 43 |
| 30.88 | 16 |
| 33.51 | 48 |
| 33.83 | 43 |
| 41.85 | 16 |

Structure:
```
Na4Al3Si3H3O14
1.0
9.162 0.000 0.000
0.000 9.148 0.000
-0.131 0.000 9.354
Na Al Si H O
8 6 6 6 28
direct
0.190 0.000 0.224
0.194 0.620 0.784
0.229 0.032 0.754
0.265 0.535 0.269
0.735 0.535 0.731
0.771 0.032 0.246
0.806 0.620 0.216
0.810 0.000 0.776
0.000 0.063 0.500
0.000 0.562 0.500
0.250 0.309 0.002
0.494 0.810 0.248
0.506 0.810 0.752
0.750 0.309 0.998
0.004 0.313 0.249
0.253 0.809 0.497
0.500 0.060 0.000
0.500 0.561 0.000
0.747 0.809 0.503
0.996 0.313 0.751
0.052 0.850 0.901
0.097 0.697 0.120
0.146 0.655 0.070
0.854 0.655 0.930
0.903 0.697 0.880
0.948 0.850 0.099
0.034 0.170 0.654
0.035 0.459 0.346
0.059 0.839 0.798
0.069 0.048 0.990
0.134 0.353 0.857
0.156 0.279 0.164
0.157 0.958 0.471
0.160 0.662 0.533
0.335 0.773 0.344
0.357 0.157 0.953
0.357 0.464 0.042
0.363 0.844 0.632
0.455 0.962 0.139
0.456 0.658 0.858
0.544 0.658 0.142
0.545 0.962 0.861
0.637 0.844 0.368
0.643 0.157 0.047
0.643 0.464 0.958
0.665 0.773 0.656
0.840 0.662 0.467
0.843 0.958 0.529
0.844 0.279 0.836
0.866 0.353 0.143
0.931 0.048 0.010
0.941 0.839 0.202
0.965 0.459 0.654
0.966 0.170 0.346
```